No. 1
For V8C7, a GGA-PBE-relaxed structure gives the calculated powder XRD pattern in this record (copper Kα).
Neutral-atom scattering factors, no anomalous dispersion.

Peak list (12 most intense, 2θ from 10° to 90°, by angle)
- 15.03°, I 4
- 18.44°, I 2
- 23.87°, I 4
- 26.19°, I 2
- 37.37°, I 100
- 38.96°, I 3
- 43.43°, I 97
- 59.75°, I 4
- 63.10°, I 52
- 75.69°, I 29
- 76.70°, I 4
- 79.70°, I 15

Structure:
```
data_V8C7
_symmetry_space_group_name_H-M 'P 1'
_symmetry_Int_Tables_number 1
_cell_length_a 8.3349
_cell_length_b 8.3349
_cell_length_c 8.3349
_cell_angle_alpha 90.00
_cell_angle_beta 90.00
_cell_angle_gamma 90.00
loop_
_symmetry_equiv_pos_as_xyz
'x,y,z'
loop_
_atom_site_label
_atom_site_fract_x
_atom_site_fract_y
_atom_site_fract_z
V1 0.1058 0.1304 0.8776
V2 0.1196 0.1442 0.3724
V3 0.1224 0.6058 0.3696
V4 0.1218 0.6218 0.8782
V5 0.1282 0.3718 0.6282
V6 0.1276 0.8804 0.6442
V7 0.1304 0.8776 0.1058
V8 0.1442 0.3724 0.1196
V9 0.3558 0.6276 0.6196
V10 0.3696 0.1224 0.6058
V11 0.3724 0.1196 0.1442
V12 0.3718 0.6282 0.1282
V13 0.3782 0.3782 0.3782
V14 0.3776 0.3942 0.8696
V15 0.3804 0.8558 0.8724
V16 0.3942 0.8696 0.3776
V17 0.6058 0.3696 0.1224
V18 0.6196 0.3558 0.6276
V19 0.6218 0.8782 0.1218
V20 0.6224 0.8942 0.6304
V21 0.6282 0.1282 0.3718
V22 0.6276 0.6196 0.3558
V23 0.6304 0.6224 0.8942
V24 0.6442 0.1276 0.8804
V25 0.8558 0.8724 0.3804
V26 0.8696 0.3776 0.3942
V27 0.8724 0.3804 0.8558
V28 0.8718 0.8718 0.8718
V29 0.8776 0.1058 0.1304
V30 0.8782 0.1218 0.6218
V31 0.8804 0.6442 0.1276
V32 0.8942 0.6304 0.6224
C1 0.1212 0.3750 0.3712
C2 0.1238 0.6250 0.1262
C3 0.1250 0.1250 0.1250
C4 0.1250 0.3738 0.8762
C5 0.1250 0.6288 0.6212
C6 0.1262 0.1238 0.6250
C7 0.1288 0.8788 0.8750
C8 0.3712 0.1212 0.3750
C9 0.3738 0.8762 0.1250
C10 0.3750 0.3712 0.1212
C11 0.3750 0.6262 0.3762
C12 0.3750 0.8750 0.6250
C13 0.3762 0.3750 0.6262
C14 0.3788 0.6250 0.8712
C15 0.6212 0.1250 0.6288
C16 0.6238 0.8750 0.8738
C17 0.6250 0.1262 0.1238
C18 0.6250 0.3750 0.8750
C19 0.6250 0.8712 0.3788
C20 0.6262 0.3762 0.3750
C21 0.6288 0.6212 0.1250
C22 0.8712 0.3788 0.6250
C23 0.8738 0.6238 0.8750
C24 0.8750 0.1288 0.8788
C25 0.8750 0.6250 0.3750
C26 0.8750 0.8738 0.6238
C27 0.8762 0.1250 0.3738
C28 0.8788 0.8750 0.1288
```

No. 2
For HfTi4Se10, a GGA-PBE-relaxed structure gives the calculated powder XRD pattern in this record (copper Kα).
Neutral-atom scattering factors, no anomalous dispersion.

Peak list (12 most intense, 2θ from 10° to 90°, by angle)
- 13.01°, I 58
- 31.51°, I 100
- 39.15°, I 57
- 49.67°, I 32
- 50.61°, I 31
- 52.48°, I 9
- 60.84°, I 15
- 65.78°, I 12
- 73.63°, I 10
- 77.06°, I 13
- 83.00°, I 12
- 87.43°, I 11

Structure:
```
data_HfTi4Se10
_symmetry_space_group_name_H-M 'P 1'
_symmetry_Int_Tables_number 1
_cell_length_a 3.6075
_cell_length_b 3.6075
_cell_length_c 34.0245
_cell_angle_alpha 90.00
_cell_angle_beta 90.00
_cell_angle_gamma 120.00
loop_
_symmetry_equiv_pos_as_xyz
'x,y,z'
loop_
_atom_site_label
_atom_site_fract_x
_atom_site_fract_y
_atom_site_fract_z
Hf1 0.0000 0.0000 0.0000
Ti1 0.0000 0.0000 0.2010
Ti2 0.0000 0.0000 0.3999
Ti3 0.0000 0.0000 0.6001
Ti4 0.0000 0.0000 0.7990
Se1 0.3333 0.6667 0.0484
Se2 0.3333 0.6667 0.2457
Se3 0.3333 0.6667 0.4447
Se4 0.3333 0.6667 0.6449
Se5 0.3333 0.6667 0.8439
Se6 0.6667 0.3333 0.1561
Se7 0.6667 0.3333 0.3551
Se8 0.6667 0.3333 0.5553
Se9 0.6667 0.3333 0.7543
Se10 0.6667 0.3333 0.9516
```

No. 3
For TiZn2SbO6, a GGA-PBE-relaxed structure gives the calculated powder XRD pattern in this record (copper Kα).
Neutral-atom scattering factors, no anomalous dispersion.

Peak list (12 most intense, 2θ from 10° to 90°, by angle)
- 28.22°, I 20
- 32.78°, I 100
- 33.13°, I 96
- 33.53°, I 46
- 33.86°, I 45
- 46.19°, I 27
- 47.88°, I 22
- 48.90°, I 20
- 58.27°, I 23
- 58.48°, I 23
- 59.67°, I 26
- 60.33°, I 22

Structure:
```
data_TiZn2SbO6
_symmetry_space_group_name_H-M 'P 1'
_symmetry_Int_Tables_number 1
_cell_length_a 5.2964
_cell_length_b 7.8618
_cell_length_c 5.3456
_cell_angle_alpha 90.00
_cell_angle_beta 91.13
_cell_angle_gamma 90.00
loop_
_symmetry_equiv_pos_as_xyz
'x,y,z'
loop_
_atom_site_label
_atom_site_fract_x
_atom_site_fract_y
_atom_site_fract_z
Ti1 0.0000 0.0000 0.0000
Ti2 0.0000 0.5000 0.0000
Zn1 0.0024 0.2500 0.5457
Zn2 0.4851 0.7500 0.9789
Zn3 0.5149 0.2500 0.0211
Zn4 0.9976 0.7500 0.4543
Sb1 0.5000 0.0000 0.5000
Sb2 0.5000 0.5000 0.5000
O1 0.1190 0.7500 0.0786
O2 0.1579 0.0681 0.3188
O3 0.1579 0.4319 0.3188
O4 0.3168 0.0692 0.8319
O5 0.3168 0.4308 0.8319
O6 0.3785 0.7500 0.5839
O7 0.6215 0.2500 0.4161
O8 0.6832 0.5692 0.1681
O9 0.6832 0.9308 0.1681
O10 0.8421 0.5681 0.6812
O11 0.8421 0.9319 0.6812
O12 0.8810 0.2500 0.9214
```

No. 4
For K3Ce, a GGA-PBE-relaxed structure gives the calculated powder XRD pattern in this record (copper Kα).
Neutral-atom scattering factors, no anomalous dispersion.

Peak list (12 most intense, 2θ from 10° to 90°, by angle)
- 13.25°, I 12
- 16.24°, I 32
- 24.92°, I 100
- 26.67°, I 18
- 29.88°, I 27
- 34.19°, I 16
- 40.48°, I 24
- 42.77°, I 10
- 46.04°, I 18
- 50.13°, I 28
- 51.12°, I 13
- 64.64°, I 13

Structure:
```
data_K3Ce
_symmetry_space_group_name_H-M 'P 1'
_symmetry_Int_Tables_number 1
_cell_length_a 7.9097
_cell_length_b 7.9097
_cell_length_c 7.9097
_cell_angle_alpha 135.57
_cell_angle_beta 135.57
_cell_angle_gamma 64.64
loop_
_symmetry_equiv_pos_as_xyz
'x,y,z'
loop_
_atom_site_label
_atom_site_fract_x
_atom_site_fract_y
_atom_site_fract_z
K1 0.0000 0.0000 0.0000
K2 0.2500 0.7500 0.5000
K3 0.7500 0.2500 0.5000
Ce1 0.5000 0.5000 0.0000
```

No. 5
For NdEr3, a GGA-PBE-relaxed structure gives the calculated powder XRD pattern in this record (copper Kα).
Neutral-atom scattering factors, no anomalous dispersion.

Peak list (8 most intense, 2θ from 10° to 90°, by angle)
- 30.88°, I 100
- 35.81°, I 51
- 51.54°, I 36
- 61.31°, I 43
- 64.35°, I 12
- 75.89°, I 6
- 84.14°, I 18
- 86.86°, I 17

Structure:
```
data_NdEr3
_symmetry_space_group_name_H-M 'P 1'
_symmetry_Int_Tables_number 1
_cell_length_a 5.0151
_cell_length_b 5.0151
_cell_length_c 5.0151
_cell_angle_alpha 90.00
_cell_angle_beta 90.00
_cell_angle_gamma 90.00
loop_
_symmetry_equiv_pos_as_xyz
'x,y,z'
loop_
_atom_site_label
_atom_site_fract_x
_atom_site_fract_y
_atom_site_fract_z
Nd1 0.0000 0.0000 0.0000
Er1 0.0000 0.5000 0.5000
Er2 0.5000 0.0000 0.5000
Er3 0.5000 0.5000 0.0000
```

No. 6
For TiCu2Sn, a GGA-PBE-relaxed structure gives the calculated powder XRD pattern in this record (copper Kα).
Neutral-atom scattering factors, no anomalous dispersion.

Peak list (12 most intense, 2θ from 10° to 90°, by angle)
- 15.14°, I 6
- 30.88°, I 25
- 38.20°, I 66
- 41.06°, I 100
- 55.13°, I 22
- 61.74°, I 8
- 63.60°, I 5
- 64.54°, I 7
- 70.99°, I 37
- 76.68°, I 12
- 81.76°, I 7
- 89.07°, I 9

Structure:
```
data_TiCu2Sn
_symmetry_space_group_name_H-M 'P 1'
_symmetry_Int_Tables_number 1
_cell_length_a 3.3316
_cell_length_b 3.3316
_cell_length_c 5.8517
_cell_angle_alpha 90.00
_cell_angle_beta 90.00
_cell_angle_gamma 90.00
loop_
_symmetry_equiv_pos_as_xyz
'x,y,z'
loop_
_atom_site_label
_atom_site_fract_x
_atom_site_fract_y
_atom_site_fract_z
Ti1 0.0000 0.0000 0.0000
Cu1 0.5000 0.5000 0.2180
Cu2 0.5000 0.5000 0.7820
Sn1 0.0000 0.0000 0.5000
```

No. 7
For K3In2As3, a GGA-PBE-relaxed structure gives the calculated powder XRD pattern in this record (copper Kα).
Neutral-atom scattering factors, no anomalous dispersion.

Peak list (12 most intense, 2θ from 10° to 90°, by angle)
- 11.72°, I 100
- 14.79°, I 56
- 21.93°, I 21
- 26.34°, I 15
- 28.44°, I 25
- 29.18°, I 21
- 30.11°, I 30
- 31.30°, I 16
- 35.24°, I 46
- 35.86°, I 58
- 37.43°, I 52
- 39.36°, I 20

Structure:
```
data_K3In2As3
_symmetry_space_group_name_H-M 'P 1'
_symmetry_Int_Tables_number 1
_cell_length_a 10.6182
_cell_length_b 10.6182
_cell_length_c 15.0991
_cell_angle_alpha 90.00
_cell_angle_beta 90.00
_cell_angle_gamma 37.92
loop_
_symmetry_equiv_pos_as_xyz
'x,y,z'
loop_
_atom_site_label
_atom_site_fract_x
_atom_site_fract_y
_atom_site_fract_z
K1 0.0698 0.6140 0.1759
K2 0.1140 0.5698 0.6759
K3 0.1511 0.8489 0.8624
K4 0.3489 0.6511 0.3624
K5 0.3860 0.9302 0.1759
K6 0.4302 0.8860 0.6759
K7 0.5698 0.1140 0.3241
K8 0.6140 0.0698 0.8241
K9 0.6511 0.3489 0.6376
K10 0.8489 0.1511 0.1376
K11 0.8860 0.4302 0.3241
K12 0.9302 0.3860 0.8241
In1 0.0835 0.0835 0.5000
In2 0.2387 0.2387 0.0000
In3 0.2613 0.2613 0.5000
In4 0.4165 0.4165 0.0000
In5 0.5835 0.5835 0.0000
In6 0.7387 0.7387 0.5000
In7 0.7613 0.7613 0.0000
In8 0.9165 0.9165 0.5000
As1 0.0506 0.6005 0.4022
As2 0.1005 0.5506 0.9022
As3 0.1619 0.8381 0.6185
As4 0.3381 0.6619 0.1185
As5 0.3995 0.9494 0.4022
As6 0.4494 0.8995 0.9022
As7 0.5506 0.1005 0.0978
As8 0.6005 0.0506 0.5978
As9 0.6619 0.3381 0.8815
As10 0.8381 0.1619 0.3815
As11 0.8995 0.4494 0.0978
As12 0.9494 0.3995 0.5978
```